1.
Starting from a cell relaxed with GGA+U, the powder X-ray diffraction pattern of Li3Mn2Co2O8 was simulated for CuKα.
No peak broadening, texture or thermal motion is included.

Largest 10 diffraction maxima, by angle, 10° ≤ 2θ ≤ 80°:
d/Å	I/Imax	index
4.858	74.2	0 1 0
4.802	100.0	1 0 0
4.772	55.8	1 0 -1
2.640	16.8	1 0 1
2.620	15.0	0 1 -2
2.432	19.1	0 2 0
2.225	63.9	0 0 2
2.025	47.1	2 -2 0
2.014	47.0	2 2 -2
1.501	14.8	-2 2 2

Atomic structure:
Unit cell a=5.685 b=5.741 c=5.952 alpha=117.93 beta=117.93 gamma=90.30
Space group P-1 (No. 2)
Symmetry-distinct sites (fractional):
Li: 0.000 0.000 0.000 x1
Li: 0.000 0.500 0.500 x1
Li: 0.500 0.000 0.000 x1
Mn: 0.500 0.000 0.500 x1
Mn: 0.500 0.500 0.000 x1
Co: 0.000 0.500 0.000 x1
Co: 0.500 0.500 0.500 x1
O: 0.244 0.726 0.991 x2
O: 0.254 0.283 0.018 x2
O: 0.283 0.745 0.508 x2
O: 0.296 0.282 0.560 x2

---

2.
Starting from a cell relaxed with GGA+U, the powder X-ray diffraction pattern of Li7Mn2Co3O12 was simulated for CuKα.
No peak broadening, texture or thermal motion is included.

Largest 10 diffraction maxima, by angle, 10° ≤ 2θ ≤ 80°:
d/Å	I/Imax	index
7.135	9.6	2 0 0
4.823	100.0	2 0 -2
2.511	12.7	4 0 2
2.454	24.6	3 1 0
2.103	26.2	2 0 4
2.043	52.1	5 1 -2
1.583	9.1	7 1 -4
1.473	13.8	3 1 -6
1.457	20.0	10 0 -4
1.432	7.9	0 2 0

Atomic structure:
Unit cell a=15.102 b=2.865 c=10.304 alpha=90.00 beta=109.12 gamma=90.00
Space group C2/m (No. 12)
Symmetry-distinct sites (fractional):
Li: 0.000 0.000 0.000 x2
Li: 0.006 0.500 0.787 x4
Li: 0.158 0.000 0.409 x4
Li: 0.167 0.000 0.930 x4
Mn: 0.171 0.500 0.675 x4
Co: 0.000 0.000 0.500 x2
Co: 0.160 0.500 0.163 x4
O: 0.090 0.000 0.206 x4
O: 0.092 0.500 0.485 x4
O: 0.092 0.500 0.978 x4
O: 0.097 0.000 0.715 x4
O: 0.243 0.000 0.138 x4
O: 0.248 0.000 0.642 x4

---

3.
Starting from a cell relaxed with GGA+U, the powder X-ray diffraction pattern of Li7Mn4CoO12 was simulated for CuKα.
No peak broadening, texture or thermal motion is included.

Largest 10 diffraction maxima, by angle, 10° ≤ 2θ ≤ 80°:
d/Å	I/Imax	index
4.849	100.0	1 0 1
2.633	16.3	1 0 -2
2.466	12.1	0 2 2
2.449	11.7	0 2 -1
2.223	34.0	2 0 -1
2.041	27.0	1 2 3
2.018	26.2	1 -2 2
1.507	8.1	3 2 2
1.500	7.9	-1 2 4
1.494	15.7	3 -2 1

Atomic structure:
Unit cell a=5.309 b=5.708 c=7.690 alpha=78.74 beta=74.23 gamma=89.51
Space group P-1 (No. 2)
Symmetry-distinct sites (fractional):
Li: 0.000 0.000 0.000 x1
Li: 0.157 0.917 0.319 x2
Li: 0.169 0.416 0.325 x2
Li: 0.449 0.241 0.018 x2
Mn: 0.326 0.835 0.676 x2
Mn: 0.337 0.333 0.671 x2
Co: 0.000 0.500 0.000 x1
O: 0.014 0.688 0.183 x2
O: 0.069 0.226 0.158 x2
O: 0.248 0.126 0.524 x2
O: 0.290 0.625 0.500 x2
O: 0.427 0.544 0.817 x2
O: 0.431 0.051 0.816 x2

---

4.
Starting from a cell relaxed with GGA+U, the powder X-ray diffraction pattern of Li7Mn2Co3O12 was simulated for CuKα.
No peak broadening, texture or thermal motion is included.

Largest 10 diffraction maxima, by angle, 10° ≤ 2θ ≤ 80°:
d/Å	I/Imax	index
6.760	9.5	0 1 1
4.832	100.0	0 0 2
2.588	17.4	1 -1 0
2.467	12.3	1 2 0
2.436	10.9	0 3 2
2.176	33.1	1 -1 2
2.050	27.8	1 2 -2
2.013	25.2	0 3 4
1.495	8.1	0 3 -4
1.489	8.2	2 1 0

Atomic structure:
Unit cell a=2.983 b=7.564 c=10.100 alpha=73.16 beta=88.38 gamma=81.10
Space group P-1 (No. 2)
Symmetry-distinct sites (fractional):
Li: 0.000 0.000 0.000 x1
Li: 0.142 0.669 0.240 x2
Li: 0.194 0.657 0.761 x2
Li: 0.488 0.006 0.238 x2
Mn: 0.349 0.326 0.504 x2
Co: 0.000 0.000 0.500 x1
Co: 0.347 0.321 0.002 x2
O: 0.049 0.835 0.382 x2
O: 0.066 0.822 0.882 x2
O: 0.263 0.508 0.614 x2
O: 0.269 0.495 0.110 x2
O: 0.411 0.189 0.883 x2
O: 0.451 0.148 0.396 x2

---

5.
Starting from a cell relaxed with GGA+U, the powder X-ray diffraction pattern of Li4MnCo2O7 was simulated for CuKα.
No peak broadening, texture or thermal motion is included.

Largest 10 diffraction maxima, by angle, 10° ≤ 2θ ≤ 80°:
d/Å	I/Imax	index
4.829	100.0	1 0 0
2.520	14.7	0 1 -2
2.480	13.2	0 3 1
2.472	12.4	1 2 3
2.098	29.2	1 1 -2
2.066	27.4	-1 3 1
2.056	26.9	2 2 3
1.907	8.5	-1 2 3
1.476	7.7	-2 2 3
1.471	14.8	3 3 1

Atomic structure:
Unit cell a=5.097 b=7.670 c=7.706 alpha=60.97 beta=71.78 gamma=77.82
Space group P1 (No. 1)
Symmetry-distinct sites (fractional):
Li: 0.000 0.000 0.000 x1
Li: 0.001 0.427 0.709 x1
Li: 0.006 0.708 0.856 x1
Li: 0.007 0.273 0.151 x1
Li: 0.009 0.863 0.414 x1
Li: 0.011 0.139 0.565 x1
Li: 0.013 0.573 0.278 x1
Li: 0.510 0.068 0.281 x1
Mn: 0.497 0.210 0.859 x1
Mn: 0.502 0.493 0.002 x1
Co: 0.501 0.927 0.702 x1
Co: 0.507 0.643 0.566 x1
Co: 0.511 0.345 0.422 x1
Co: 0.516 0.789 0.147 x1
O: 0.274 0.179 0.711 x1
O: 0.275 0.448 0.866 x1
O: 0.276 0.039 0.116 x1
O: 0.276 0.336 0.267 x1
O: 0.276 0.873 0.579 x1
O: 0.288 0.601 0.428 x1
O: 0.289 0.736 0.996 x1
O: 0.718 0.393 0.585 x1
O: 0.722 0.259 0.988 x1
O: 0.723 0.666 0.722 x1
O: 0.728 0.977 0.851 x1
O: 0.736 0.529 0.131 x1
O: 0.744 0.112 0.436 x1
O: 0.754 0.812 0.275 x1

---

6.
Starting from a cell relaxed with GGA+U, the powder X-ray diffraction pattern of Li7Mn2Co3O12 was simulated for CuKα.
No peak broadening, texture or thermal motion is included.

Largest 10 diffraction maxima, by angle, 10° ≤ 2θ ≤ 80°:
d/Å	I/Imax	index
4.836	100.0	0 0 2
2.501	15.2	6 0 -2
2.474	25.9	3 1 0
2.077	28.5	6 0 -4
2.066	57.6	3 1 2
1.897	8.6	3 1 -4
1.600	9.5	3 1 4
1.469	15.7	3 1 -6
1.461	15.1	9 1 -2
1.444	8.4	0 2 0

Atomic structure:
Unit cell a=15.244 b=2.887 c=10.236 alpha=90.00 beta=109.12 gamma=90.00
Space group C2/m (No. 12)
Symmetry-distinct sites (fractional):
Li: 0.000 0.000 0.000 x2
Li: 0.004 0.500 0.242 x4
Li: 0.163 0.000 0.745 x4
Li: 0.165 0.000 0.247 x4
Mn: 0.163 0.500 0.003 x4
Co: 0.000 0.000 0.500 x2
Co: 0.167 0.500 0.498 x4
O: 0.079 0.500 0.615 x4
O: 0.086 0.000 0.380 x4
O: 0.093 0.500 0.114 x4
O: 0.094 0.000 0.889 x4
O: 0.246 0.000 0.106 x4
O: 0.246 0.000 0.617 x4

---

7.
Starting from a cell relaxed with GGA+U, the powder X-ray diffraction pattern of Li7Mn4CoO12 was simulated for CuKα.
No peak broadening, texture or thermal motion is included.

Largest 10 diffraction maxima, by angle, 10° ≤ 2θ ≤ 80°:
d/Å	I/Imax	index
7.288	8.1	0 0 2
4.858	100.0	0 0 3
2.573	14.8	2 0 -1
2.470	23.6	1 1 1
2.148	29.1	2 0 -4
2.054	53.3	1 1 4
1.917	8.5	1 1 -5
1.592	9.3	1 1 7
1.485	28.5	1 1 -8
1.472	8.5	2 0 8

Atomic structure:
Unit cell a=5.203 b=2.869 c=14.583 alpha=90.00 beta=91.73 gamma=90.00
Space group Pm (No. 6)
Symmetry-distinct sites (fractional):
Li: 0.000 0.000 0.000 x1
Li: 0.011 0.000 0.500 x1
Li: 0.132 0.500 0.851 x1
Li: 0.362 0.000 0.160 x1
Li: 0.486 0.500 0.503 x1
Li: 0.629 0.000 0.843 x1
Li: 0.877 0.500 0.153 x1
Mn: 0.181 0.500 0.333 x1
Mn: 0.502 0.500 0.001 x1
Mn: 0.682 0.000 0.336 x1
Mn: 0.819 0.500 0.671 x1
Co: 0.319 0.000 0.669 x1
O: 0.038 0.000 0.257 x1
O: 0.166 0.500 0.595 x1
O: 0.210 0.500 0.078 x1
O: 0.316 0.000 0.414 x1
O: 0.340 0.000 0.927 x1
O: 0.469 0.500 0.741 x1
O: 0.540 0.500 0.260 x1
O: 0.641 0.000 0.600 x1
O: 0.662 0.000 0.073 x1
O: 0.793 0.500 0.920 x1
O: 0.819 0.500 0.416 x1
O: 0.999 0.000 0.739 x1

---

8.
Starting from a cell relaxed with GGA+U, the powder X-ray diffraction pattern of Li7Mn4CoO12 was simulated for CuKα.
No peak broadening, texture or thermal motion is included.

Largest 10 diffraction maxima, by angle, 10° ≤ 2θ ≤ 80°:
d/Å	I/Imax	index
8.508	7.7	0 0 1
4.837	100.0	0 1 0
2.537	13.1	1 0 -3
2.491	12.1	1 -1 3
2.481	12.3	2 0 0
2.119	29.2	-1 1 3
2.070	27.6	1 -2 3
2.056	27.3	2 1 0
1.475	7.4	0 1 -6
1.473	7.4	3 0 -3

Atomic structure:
Unit cell a=5.053 b=5.115 c=8.855 alpha=105.63 beta=90.92 gamma=100.20
Space group P1 (No. 1)
Symmetry-distinct sites (fractional):
Li: 0.000 0.000 0.000 x1
Li: 0.008 0.014 0.344 x1
Li: 0.024 0.001 0.673 x1
Li: 0.253 0.500 0.591 x1
Li: 0.486 0.020 0.178 x1
Li: 0.496 0.012 0.513 x1
Li: 0.509 0.992 0.823 x1
Mn: 0.246 0.518 0.264 x1
Mn: 0.248 0.507 0.919 x1
Mn: 0.750 0.498 0.751 x1
Mn: 0.750 0.510 0.428 x1
Co: 0.750 0.513 0.091 x1
O: 0.111 0.732 0.802 x1
O: 0.111 0.733 0.453 x1
O: 0.132 0.750 0.146 x1
O: 0.353 0.295 0.063 x1
O: 0.391 0.290 0.377 x1
O: 0.405 0.260 0.716 x1
O: 0.608 0.737 0.309 x1
O: 0.620 0.731 0.942 x1
O: 0.651 0.727 0.624 x1
O: 0.859 0.285 0.552 x1
O: 0.883 0.279 0.876 x1
O: 0.884 0.288 0.236 x1

---

9.
Starting from a cell relaxed with GGA+U, the powder X-ray diffraction pattern of Li4Mn3CoO8 was simulated for CuKα.
No peak broadening, texture or thermal motion is included.

Largest 10 diffraction maxima, by angle, 10° ≤ 2θ ≤ 80°:
d/Å	I/Imax	index
4.828	100.0	1 0 0
2.542	14.3	0 0 2
2.453	25.1	1 2 0
2.369	8.2	1 2 2
2.123	27.1	1 0 2
2.041	48.1	2 2 0
1.903	8.6	2 2 2
1.582	9.0	-2 2 2
1.475	13.5	3 2 2
1.470	7.0	1 2 -2

Atomic structure:
Unit cell a=5.086 b=5.707 c=5.872 alpha=61.08 beta=89.32 gamma=73.69
Space group P-1 (No. 2)
Symmetry-distinct sites (fractional):
Li: 0.002 0.498 0.250 x2
Li: 0.004 0.998 0.748 x2
Mn: 0.500 0.000 0.000 x1
Mn: 0.500 0.000 0.500 x1
Mn: 0.500 0.500 0.500 x1
Co: 0.500 0.500 0.000 x1
O: 0.263 0.255 0.603 x2
O: 0.279 0.738 0.132 x2
O: 0.280 0.240 0.130 x2
O: 0.281 0.730 0.648 x2

---

10.
Starting from a cell relaxed with GGA+U, the powder X-ray diffraction pattern of Li7Mn2Co3O12 was simulated for CuKα.
No peak broadening, texture or thermal motion is included.

Largest 10 diffraction maxima, by angle, 10° ≤ 2θ ≤ 80°:
d/Å	I/Imax	index
7.394	9.7	1 0 0
4.814	100.0	1 0 1
2.475	24.3	1 1 -2
2.440	12.4	3 0 -3
2.074	55.0	0 1 3
2.020	24.9	4 0 -2
1.878	7.4	3 1 0
1.605	11.8	1 1 4
1.454	13.5	4 1 1
1.440	13.7	4 1 -5

Atomic structure:
Unit cell a=8.079 b=2.898 c=9.730 alpha=90.00 beta=113.77 gamma=90.00
Space group Pm (No. 6)
Symmetry-distinct sites (fractional):
Li: 0.000 0.000 0.000 x1
Li: 0.014 0.500 0.527 x1
Li: 0.168 0.500 0.835 x1
Li: 0.330 0.000 0.685 x1
Li: 0.527 0.500 0.530 x1
Li: 0.718 0.000 0.381 x1
Li: 0.845 0.500 0.188 x1
Mn: 0.174 0.000 0.354 x1
Mn: 0.353 0.500 0.183 x1
Co: 0.515 0.000 0.015 x1
Co: 0.677 0.500 0.848 x1
Co: 0.849 0.000 0.682 x1
O: 0.085 0.000 0.689 x1
O: 0.119 0.500 0.198 x1
O: 0.257 0.500 0.495 x1
O: 0.278 0.000 0.030 x1
O: 0.420 0.000 0.335 x1
O: 0.450 0.500 0.870 x1
O: 0.579 0.500 0.163 x1
O: 0.607 0.000 0.694 x1
O: 0.747 0.000 0.006 x1
O: 0.774 0.500 0.538 x1
O: 0.907 0.500 0.834 x1
O: 0.947 0.000 0.344 x1